Theoretical XRD peak list of SmY2WO8 for Cu Kα X-rays, from the PBE+U geometry in Alexandria.

Main lines, sorted by position (10 to 80 degrees two-theta):
two_theta  I/Imax
17.50  22
24.71  60
24.97  56
31.28  100
35.42  28
35.96  10
47.81  41
48.11  39
57.69  12
59.19  11
61.02  23
65.25  11

```
SmY2WO8
1.0
3.565 -3.603 0.000
3.565 3.603 0.000
0.000 0.000 6.928
Sm Y W O
1 2 1 8
Direct
0.000 0.000 0.000
0.500 0.500 0.255
0.500 0.500 0.745
0.000 0.000 0.500
0.184 0.816 0.292
0.184 0.816 0.708
0.275 0.275 0.500
0.313 0.313 0.000
0.687 0.687 0.000
0.725 0.725 0.500
0.816 0.184 0.292
0.816 0.184 0.708
```